Starting from a cell relaxed with PBE+U, the powder diffraction line list of Ca2ScCrO6 was calculated for Cu Kα, 1.54184 Å.
Neutral-atom scattering factors, no anomalous dispersion.

Peak list (10 most intense, 10° ≤ 2θ ≤ 90°, sorted by position)
| h k l | d/Å | intensity |
| --- | --- | --- |
| 1 1 -1 | 3.878 | 260 |
| 0 2 0 | 2.783 | 409 |
| 1 1 1 | 2.750 | 822 |
| 1 1 -3 | 2.735 | 814 |
| 2 0 -2 | 2.704 | 366 |
| 0 0 4 | 1.939 | 1000 |
| 0 2 4 | 1.591 | 187 |
| 3 1 -1 | 1.573 | 193 |
| 3 1 -5 | 1.564 | 222 |
| 2 2 -6 | 1.367 | 140 |

Lattice parameters (Å, degrees): 5.408 5.565 9.422 90.00 124.59 90.00
Space group P2_1/c (No. 14)
One atom of each set of equivalent atoms:
Ca (0.239, 0.050, 0.249) (multiplicity 4)
Sc (0.500, 0.000, 0.000) (multiplicity 2)
Cr (0.000, 0.000, 0.500) (multiplicity 2)
O (0.146, 0.216, 0.953) (multiplicity 4)
O (0.234, 0.691, 0.958) (multiplicity 4)
O (0.322, 0.026, 0.738) (multiplicity 4)